Entry 1:
TlPd2Au: computed powder diffractogram (Cu Ka), based on a PBE-relaxed structure.

Cell and atoms:
a b c (Å): 4.660 4.660 4.660
angles (deg): 60.00 60.00 60.00
Sites, in units of the cell vectors:
Tl (0.000, 0.000, 0.000)
Pd (0.250, 0.250, 0.250)
Pd (0.750, 0.750, 0.750)
Au (0.500, 0.500, 0.500)

Peak list (8 most intense, 10 to 90 degrees two-theta, most intense first)
2θ/deg	I (rel.)
38.64	100
69.93	35
55.80	17
82.86	11
27.06	11
63.08	5
47.81	3
89.15	3


Entry 2:
Tm2PdAu: computed powder diffractogram (Cu Ka), based on a PBE-relaxed structure.

Cell and atoms:
a b c (Å): 4.959 4.959 4.959
angles (deg): 60.00 60.00 60.00
Sites, in units of the cell vectors:
Tm (0.250, 0.250, 0.250)
Tm (0.750, 0.750, 0.750)
Pd (0.000, 0.000, 0.000)
Au (0.500, 0.500, 0.500)

Peak list (10 most intense, 10 to 90 degrees two-theta, most intense first)
2θ/deg	I (rel.)
36.23	100
65.17	36
52.17	18
88.09	17
76.90	11
21.95	4
42.76	3
57.26	1
81.13	1
69.67	1


Entry 3:
Zn2PdAu: computed powder diffractogram (Cu Ka), based on a PBE-relaxed structure.

Cell and atoms:
a b c (Å): 4.430 4.430 4.430
angles (deg): 60.00 60.00 60.00
Sites, in units of the cell vectors:
Zn (0.250, 0.250, 0.250)
Zn (0.750, 0.750, 0.750)
Pd (0.000, 0.000, 0.000)
Au (0.500, 0.500, 0.500)

Peak list (10 most intense, 10 to 90 degrees two-theta, most intense first)
2θ/deg	I (rel.)
40.74	100
74.15	33
28.50	17
58.98	17
88.24	11
24.61	9
66.78	7
48.18	5
50.47	5
64.88	2